The following is a simulated X-ray diffraction stick pattern of LiCaMoF6. It was derived from a crystal structure in Alexandria, relaxed with GGA+U, using copper Kα.
Lines closer than 0.1° are merged.

Atomic structure:
```
LiCaMoF6
1.0
5.0203 0.0000 0.0000
0.0000 5.0203 0.0000
0.0000 0.0000 10.0877
Li Ca Mo F
2 2 2 12
direct
0.0000 0.0000 0.0000
0.5000 0.5000 0.5000
0.0000 0.0000 0.3308
0.5000 0.5000 0.8308
0.0000 0.0000 0.6649
0.5000 0.5000 0.1649
0.1838 0.1838 0.8290
0.1991 0.1991 0.5092
0.2033 0.2033 0.1583
0.2967 0.7033 0.6583
0.3009 0.6991 0.0092
0.3162 0.6838 0.3290
0.6838 0.3162 0.3290
0.6991 0.3009 0.0092
0.7033 0.2967 0.6583
0.7967 0.7967 0.1583
0.8009 0.8009 0.5092
0.8162 0.8162 0.8290
```

Principal peaks in the range 5 to 70 degrees two-theta, sorted by position:
2θ/deg	d/Å	I_rel	hkl
17.6	5.044	33	0 0 2
19.8	4.495	94	1 0 1
25.1	3.550	100	1 1 0
30.8	2.903	30	1 1 2
32.0	2.794	45	1 0 3
36.8	2.441	30	1 1 3
40.1	2.246	23	2 0 2
41.2	2.192	26	2 1 1
48.8	1.867	71	2 1 3
61.9	1.498	30	3 0 3